[1]
For BaNd2Ti3O10, DFT lattice parameters and positions (GGA-PBE) gives the simulated X-ray diffraction stick pattern in this record (Cu Kα (λ = 1.5418 Å)).
Neutral-atom scattering factors, no anomalous dispersion.

Largest 12 diffraction maxima, by angle, 10° ≤ 2θ ≤ 80°:
| 2θ/deg | Rel. int. |
| --- | --- |
| 18.7 | 36.1 |
| 23.1 | 15.1 |
| 27.6 | 23.9 |
| 29.9 | 100.0 |
| 31.7 | 44.2 |
| 32.7 | 54.8 |
| 39.6 | 30.5 |
| 46.2 | 25.7 |
| 47.3 | 21.0 |
| 53.5 | 28.3 |
| 56.0 | 28.3 |
| 58.0 | 19.3 |

Cell and atoms:
```
BaNd2Ti3O10
1.0
1.964 -14.246 0.000
1.964 14.246 0.000
0.000 0.000 7.694
Ba Nd Ti O
2 4 6 20
Direct
0.243 0.757 0.750
0.757 0.243 0.250
0.073 0.927 0.750
0.080 0.920 0.250
0.920 0.080 0.750
0.927 0.073 0.250
0.354 0.646 0.005
0.354 0.646 0.495
0.500 0.500 0.000
0.500 0.500 0.500
0.646 0.354 0.505
0.646 0.354 0.995
0.000 0.000 0.000
0.000 0.000 0.500
0.130 0.870 0.507
0.130 0.870 0.993
0.293 0.707 0.047
0.293 0.707 0.453
0.353 0.647 0.750
0.378 0.622 0.250
0.434 0.566 0.555
0.434 0.566 0.945
0.482 0.518 0.250
0.518 0.482 0.750
0.566 0.434 0.055
0.566 0.434 0.445
0.622 0.378 0.750
0.647 0.353 0.250
0.707 0.293 0.547
0.707 0.293 0.953
0.870 0.130 0.007
0.870 0.130 0.493
```



[2]
For Ho12Co7, DFT lattice parameters and positions (GGA-PBE) gives the simulated X-ray diffraction stick pattern in this record (Cu Kα (λ = 1.5418 Å)).
Neutral-atom scattering factors, no anomalous dispersion.

Largest 12 diffraction maxima, by angle, 10° ≤ 2θ ≤ 80°:
| 2θ/deg | Rel. int. |
| --- | --- |
| 31.7 | 38.3 |
| 32.9 | 46.9 |
| 33.7 | 100.0 |
| 33.8 | 65.7 |
| 34.0 | 40.9 |
| 34.3 | 61.3 |
| 34.6 | 45.5 |
| 36.2 | 33.8 |
| 36.6 | 53.1 |
| 37.2 | 36.8 |
| 38.4 | 35.5 |
| 40.2 | 38.7 |

Cell and atoms:
```
Ho12Co7
1.0
8.241 0.000 0.000
0.000 11.149 0.000
-6.317 0.000 8.978
Ho Co
24 14
Direct
0.002 0.158 0.342
0.002 0.342 0.842
0.233 0.570 0.805
0.233 0.930 0.305
0.251 0.199 0.175
0.251 0.301 0.675
0.265 0.705 0.538
0.265 0.795 0.038
0.270 0.072 0.914
0.270 0.428 0.414
0.345 0.504 0.146
0.345 0.996 0.646
0.655 0.004 0.354
0.655 0.496 0.854
0.730 0.572 0.586
0.730 0.928 0.086
0.735 0.205 0.962
0.735 0.295 0.462
0.749 0.699 0.325
0.749 0.801 0.825
0.767 0.070 0.695
0.767 0.430 0.195
0.998 0.658 0.158
0.998 0.842 0.658
0.000 0.000 0.000
0.000 0.500 0.500
0.007 0.099 0.600
0.007 0.401 0.100
0.402 0.689 0.343
0.402 0.811 0.843
0.409 0.174 0.470
0.409 0.326 0.970
0.591 0.674 0.030
0.591 0.826 0.530
0.598 0.189 0.157
0.598 0.311 0.657
0.993 0.599 0.900
0.993 0.901 0.400
```



[3]
For BaLaMgBiO6, DFT lattice parameters and positions (GGA-PBE) gives the simulated X-ray diffraction stick pattern in this record (Cu Kα (λ = 1.5418 Å)).
Neutral-atom scattering factors, no anomalous dispersion.

Largest 12 diffraction maxima, by angle, 10° ≤ 2θ ≤ 80°:
| 2θ/deg | Rel. int. |
| --- | --- |
| 18.5 | 31.4 |
| 30.5 | 100.0 |
| 35.9 | 19.8 |
| 37.6 | 3.1 |
| 43.6 | 30.5 |
| 47.8 | 9.3 |
| 54.2 | 41.2 |
| 57.7 | 6.8 |
| 63.4 | 19.1 |
| 66.7 | 6.8 |
| 72.0 | 18.1 |
| 75.1 | 2.5 |

Cell and atoms:
```
BaLaMgBiO6
1.0
0.000 4.148 4.148
4.148 0.000 4.148
4.148 4.148 0.000
Ba La Mg Bi O
1 1 1 1 6
Direct
0.000 0.000 0.000
0.500 0.500 0.500
0.250 0.250 0.250
0.750 0.750 0.750
0.003 0.003 0.497
0.003 0.497 0.003
0.003 0.497 0.497
0.497 0.003 0.003
0.497 0.003 0.497
0.497 0.497 0.003
```



[4]
For CaZn2Si2, DFT lattice parameters and positions (GGA-PBE) gives the simulated X-ray diffraction stick pattern in this record (Cu Kα (λ = 1.5418 Å)).
Neutral-atom scattering factors, no anomalous dispersion.

Largest 12 diffraction maxima, by angle, 10° ≤ 2θ ≤ 80°:
| 2θ/deg | Rel. int. |
| --- | --- |
| 17.4 | 31.1 |
| 33.8 | 16.3 |
| 34.7 | 100.0 |
| 35.3 | 10.9 |
| 42.5 | 43.9 |
| 46.3 | 10.7 |
| 46.8 | 27.9 |
| 49.7 | 7.8 |
| 56.4 | 10.4 |
| 61.7 | 13.7 |
| 62.9 | 11.8 |
| 72.8 | 20.2 |

Cell and atoms:
```
CaZn2Si2
1.0
-2.125 2.125 5.087
2.125 -2.125 5.087
2.125 2.125 -5.087
Ca Zn Si
1 2 2
Direct
0.000 0.000 0.000
0.250 0.750 0.500
0.750 0.250 0.500
0.385 0.385 0.000
0.615 0.615 0.000
```



[5]
For MgSb2O4, DFT lattice parameters and positions (GGA-PBE) gives the simulated X-ray diffraction stick pattern in this record (Cu Kα (λ = 1.5418 Å)).
Neutral-atom scattering factors, no anomalous dispersion.

Largest 12 diffraction maxima, by angle, 10° ≤ 2θ ≤ 80°:
| 2θ/deg | Rel. int. |
| --- | --- |
| 18.7 | 100.0 |
| 26.8 | 53.6 |
| 28.1 | 15.0 |
| 28.6 | 34.2 |
| 30.3 | 58.7 |
| 34.0 | 37.8 |
| 37.7 | 50.8 |
| 40.8 | 21.0 |
| 41.4 | 22.7 |
| 49.2 | 23.5 |
| 55.9 | 12.2 |
| 56.1 | 17.4 |

Cell and atoms:
```
MgSb2O4
1.0
3.289 0.000 0.000
-1.645 6.652 0.000
-1.641 -3.018 9.789
Mg Sb O
2 4 8
Direct
0.003 0.260 0.247
0.997 0.740 0.753
0.208 0.325 0.589
0.221 0.841 0.103
0.779 0.159 0.897
0.792 0.675 0.411
0.165 0.062 0.766
0.182 0.588 0.277
0.372 0.636 0.606
0.376 0.147 0.107
0.624 0.853 0.893
0.628 0.364 0.394
0.818 0.412 0.723
0.835 0.938 0.234
```



[6]
For HfAl2Zn, DFT lattice parameters and positions (GGA-PBE) gives the simulated X-ray diffraction stick pattern in this record (Cu Kα (λ = 1.5418 Å)).
Neutral-atom scattering factors, no anomalous dispersion.

Largest 12 diffraction maxima, by angle, 10° ≤ 2θ ≤ 80°:
| 2θ/deg | Rel. int. |
| --- | --- |
| 21.8 | 25.0 |
| 22.1 | 41.6 |
| 31.0 | 36.3 |
| 31.2 | 20.6 |
| 38.4 | 100.0 |
| 44.4 | 33.0 |
| 45.0 | 15.9 |
| 50.2 | 19.3 |
| 55.7 | 14.1 |
| 65.1 | 20.9 |
| 77.8 | 24.9 |
| 78.6 | 12.1 |

Cell and atoms:
```
HfAl2Zn
1.0
4.077 0.000 0.000
0.000 4.077 0.000
0.000 0.000 4.026
Hf Al Zn
1 2 1
Direct
0.000 0.000 0.000
0.000 0.500 0.500
0.500 0.000 0.500
0.500 0.500 0.000
```



[7]
For Li2Si3O7, DFT lattice parameters and positions (GGA-PBE) gives the simulated X-ray diffraction stick pattern in this record (Cu Kα (λ = 1.5418 Å)).
Neutral-atom scattering factors, no anomalous dispersion.

Largest 12 diffraction maxima, by angle, 10° ≤ 2θ ≤ 80°:
| 2θ/deg | Rel. int. |
| --- | --- |
| 17.1 | 16.3 |
| 23.1 | 84.7 |
| 23.3 | 12.5 |
| 23.7 | 100.0 |
| 26.8 | 41.7 |
| 36.0 | 10.8 |
| 36.5 | 27.0 |
| 39.3 | 10.4 |
| 41.7 | 11.1 |
| 48.0 | 16.0 |
| 48.7 | 8.9 |
| 65.8 | 7.6 |

Cell and atoms:
```
Li2Si3O7
1.0
6.055 0.000 0.000
0.000 4.923 0.000
0.000 0.000 19.964
Li Si O
8 12 28
Direct
0.146 0.058 0.044
0.146 0.058 0.456
0.146 0.442 0.544
0.146 0.442 0.956
0.854 0.558 0.044
0.854 0.558 0.456
0.854 0.942 0.544
0.854 0.942 0.956
0.150 0.579 0.250
0.150 0.921 0.750
0.353 0.553 0.105
0.353 0.553 0.395
0.353 0.947 0.605
0.353 0.947 0.895
0.647 0.053 0.105
0.647 0.053 0.395
0.647 0.447 0.605
0.647 0.447 0.895
0.850 0.079 0.250
0.850 0.421 0.750
0.076 0.603 0.750
0.076 0.897 0.250
0.162 0.044 0.555
0.162 0.044 0.945
0.162 0.456 0.055
0.162 0.456 0.445
0.297 0.512 0.184
0.297 0.512 0.316
0.297 0.988 0.684
0.297 0.988 0.816
0.412 0.620 0.592
0.412 0.620 0.908
0.412 0.880 0.092
0.412 0.880 0.408
0.588 0.120 0.592
0.588 0.120 0.908
0.588 0.380 0.092
0.588 0.380 0.408
0.703 0.012 0.184
0.703 0.012 0.316
0.703 0.488 0.684
0.703 0.488 0.816
0.838 0.544 0.555
0.838 0.544 0.945
0.838 0.956 0.055
0.838 0.956 0.445
0.924 0.103 0.750
0.924 0.397 0.250
```



[8]
For MgSb2O4, DFT lattice parameters and positions (GGA-PBE) gives the simulated X-ray diffraction stick pattern in this record (Cu Kα (λ = 1.5418 Å)).
Neutral-atom scattering factors, no anomalous dispersion.

Largest 12 diffraction maxima, by angle, 10° ≤ 2θ ≤ 80°:
| 2θ/deg | Rel. int. |
| --- | --- |
| 15.3 | 50.4 |
| 15.7 | 52.0 |
| 15.8 | 50.1 |
| 16.0 | 50.0 |
| 25.6 | 42.3 |
| 29.5 | 93.8 |
| 29.9 | 77.3 |
| 30.1 | 51.2 |
| 30.2 | 38.5 |
| 30.4 | 100.0 |
| 31.7 | 43.8 |
| 38.1 | 52.0 |

Cell and atoms:
```
MgSb2O4
1.0
6.705 0.000 0.000
-3.130 6.011 0.000
-3.256 -2.096 5.791
Mg Sb O
2 4 8
Direct
0.000 0.000 0.000
0.481 0.233 0.741
0.136 0.587 0.269
0.324 0.708 0.887
0.687 0.566 0.415
0.814 0.106 0.430
0.186 0.812 0.073
0.201 0.304 0.602
0.255 0.374 0.181
0.272 0.894 0.691
0.697 0.371 0.608
0.749 0.918 0.118
0.752 0.366 0.073
0.780 0.871 0.631
```



Please write out number 8 again, unchanged.
For MgSb2O4, DFT lattice parameters and positions (GGA-PBE) gives the simulated X-ray diffraction stick pattern in this record (Cu Kα (λ = 1.5418 Å)).
Neutral-atom scattering factors, no anomalous dispersion.

Largest 12 diffraction maxima, by angle, 10° ≤ 2θ ≤ 80°:
| 2θ/deg | Rel. int. |
| --- | --- |
| 15.3 | 50.4 |
| 15.7 | 52.0 |
| 15.8 | 50.1 |
| 16.0 | 50.0 |
| 25.6 | 42.3 |
| 29.5 | 93.8 |
| 29.9 | 77.3 |
| 30.1 | 51.2 |
| 30.2 | 38.5 |
| 30.4 | 100.0 |
| 31.7 | 43.8 |
| 38.1 | 52.0 |

Cell and atoms:
```
MgSb2O4
1.0
6.705 0.000 0.000
-3.130 6.011 0.000
-3.256 -2.096 5.791
Mg Sb O
2 4 8
Direct
0.000 0.000 0.000
0.481 0.233 0.741
0.136 0.587 0.269
0.324 0.708 0.887
0.687 0.566 0.415
0.814 0.106 0.430
0.186 0.812 0.073
0.201 0.304 0.602
0.255 0.374 0.181
0.272 0.894 0.691
0.697 0.371 0.608
0.749 0.918 0.118
0.752 0.366 0.073
0.780 0.871 0.631
```